# 1
Er4Ga12Ir: calculated powder X-ray diffraction pattern (Cu Kα (weighted mean of Kα1 and Kα2)), based on a DFT-relaxed cell (GGA-PBE, Alexandria).
Intensities are scaled so that the largest is 100.

Structural model:
```
data_Er4Ga12Ir
_chemical_formula_sum 'Er8 Ga24 Ir2'
_space_group_name_H-M_alt 'I m -3 m'
_space_group_IT_number 229
_space_group_name_Hall '-I 4 2 3'
_cell_length_a 8.5754
_cell_length_b 8.5754
_cell_length_c 8.5754
_cell_angle_alpha 90.00
_cell_angle_beta 90.00
_cell_angle_gamma 90.00
loop_
_atom_site_label
_atom_site_type_symbol
_atom_site_fract_x
_atom_site_fract_y
_atom_site_fract_z
_atom_site_occupancy
Er1 Er 0.2500 0.2500 0.2500 1
Ga1 Ga 0.0000 0.0000 0.2933 1
Ga2 Ga 0.0000 0.2500 0.5000 1
Ir1 Ir 0.0000 0.0000 0.0000 1
```

Principal peaks in the range 10° ≤ 2θ ≤ 80°, sorted by position:
d (Å), I/Imax, index
3.032, 55.4, 2 2 0
2.712, 15.2, 3 1 0
2.476, 100.0, 2 2 2
2.292, 22.3, 3 2 1
2.144, 80.9, 4 0 0
1.750, 17.6, 4 2 2
1.516, 48.3, 4 4 0
1.356, 15.0, 6 2 0
1.293, 29.8, 6 2 2
1.238, 14.7, 4 4 4



# 2
Er4Ga6Ir7: calculated powder X-ray diffraction pattern (Cu Kα (weighted mean of Kα1 and Kα2)), based on a DFT-relaxed cell (GGA-PBE, Alexandria).
Intensities are scaled so that the largest is 100.

Structural model:
```
data_Er4Ga6Ir7
_chemical_formula_sum 'Er8 Ga12 Ir14'
_space_group_name_H-M_alt 'I m -3 m'
_space_group_IT_number 229
_space_group_name_Hall '-I 4 2 3'
_cell_length_a 8.3824
_cell_length_b 8.3824
_cell_length_c 8.3824
_cell_angle_alpha 90.00
_cell_angle_beta 90.00
_cell_angle_gamma 90.00
loop_
_atom_site_label
_atom_site_type_symbol
_atom_site_fract_x
_atom_site_fract_y
_atom_site_fract_z
_atom_site_occupancy
Er1 Er 0.2500 0.2500 0.2500 1
Ga1 Ga 0.0000 0.0000 0.3121 1
Ir1 Ir 0.0000 0.0000 0.0000 1
Ir2 Ir 0.0000 0.2500 0.5000 1
```

Principal peaks in the range 10° ≤ 2θ ≤ 80°, sorted by position:
d (Å), I/Imax, index
3.422, 24.8, 2 1 1
2.964, 11.9, 2 2 0
2.420, 100.0, 2 2 2
2.240, 38.4, 3 2 1
2.096, 69.7, 4 0 0
1.787, 17.7, 3 3 2
1.482, 40.8, 4 4 0
1.264, 31.0, 6 2 2
1.236, 10.9, 6 3 1
1.210, 12.3, 4 4 4